The following is a computed powder diffractogram of Li10Mn2V3Cr3O16. It was derived from a cell relaxed with GGA+U, using λ = 1.5418 Å (Cu Kα).

Main lines, by intensity (2θ = 15–90°):
2θ (°), Rel. int.
17.76, 100
19.15, 75
44.10, 57
44.23, 57
19.24, 50
34.79, 49
35.62, 43
39.02, 38
24.72, 36
35.41, 32
50.66, 32
43.64, 31

Cell and atoms:
```
data_Li10Mn2V3Cr3O16
_symmetry_space_group_name_H-M 'P 1'
_symmetry_Int_Tables_number 1
_cell_length_a 6.0052
_cell_length_b 6.0493
_cell_length_c 9.9871
_cell_angle_alpha 90.40
_cell_angle_beta 90.21
_cell_angle_gamma 119.56
loop_
_symmetry_equiv_pos_as_xyz
'x,y,z'
loop_
_atom_site_label
_atom_site_fract_x
_atom_site_fract_y
_atom_site_fract_z
Li1 0.0000 0.0000 0.0000
Li2 0.0046 0.5782 0.9990
Li3 0.1364 0.8496 0.7874
Li4 0.1954 0.3938 0.4996
Li5 0.3989 0.9831 0.0059
Li6 0.4669 0.5219 0.2880
Li7 0.6035 0.7903 0.5032
Li8 0.6208 0.3924 0.4992
Li9 0.7945 0.1877 0.0773
Li10 0.8023 0.1760 0.5772
Mn1 0.1396 0.8614 0.5371
Mn2 0.4730 0.5261 0.0388
V1 0.1429 0.3538 0.7751
V2 0.6373 0.3527 0.7766
V3 0.9699 0.5280 0.2760
Cr1 0.4659 0.0243 0.2775
Cr2 0.6378 0.8504 0.7774
Cr3 0.9688 0.0245 0.2763
O1 0.1148 0.3488 0.1618
O2 0.1381 0.8659 0.1599
O3 0.2965 0.1807 0.3926
O4 0.2974 0.6988 0.3898
O5 0.3141 0.2002 0.8916
O6 0.3143 0.6855 0.8924
O7 0.4695 0.5254 0.6585
O8 0.4874 0.0266 0.6639
O9 0.6408 0.3494 0.1651
O10 0.6410 0.8747 0.1619
O11 0.7939 0.6785 0.8911
O12 0.7992 0.1859 0.3901
O13 0.8120 0.1829 0.8903
O14 0.8162 0.7001 0.3896
O15 0.9582 0.4960 0.6589
O16 0.9596 0.0173 0.6633
```

The following is a computed powder diffractogram of Li3V4O8. It was derived from a cell relaxed with GGA+U, using λ = 1.5418 Å (Cu Kα).

Main lines, by intensity (2θ = 15–90°):
2θ (°), Rel. int.
42.67, 100
18.28, 99
17.51, 75
42.51, 50
18.35, 47
62.88, 29
35.60, 28
35.21, 26
34.37, 18
35.07, 16
60.75, 15
60.95, 15

Cell and atoms:
```
data_Li3V4O8
_symmetry_space_group_name_H-M 'P 1'
_symmetry_Int_Tables_number 1
_cell_length_a 5.8952
_cell_length_b 5.9105
_cell_length_c 10.6723
_cell_angle_alpha 74.06
_cell_angle_beta 89.80
_cell_angle_gamma 60.12
loop_
_symmetry_equiv_pos_as_xyz
'x,y,z'
loop_
_atom_site_label
_atom_site_fract_x
_atom_site_fract_y
_atom_site_fract_z
Li1 0.0000 0.0000 0.0000
Li2 0.0699 0.8544 0.2160
Li3 0.4228 0.1475 0.2841
Li4 0.5000 0.0000 0.5000
Li5 0.5772 0.8525 0.7159
Li6 0.9301 0.1456 0.7840
V1 0.0000 0.0000 0.5000
V2 0.0000 0.5000 0.0000
V3 0.0000 0.5000 0.5000
V4 0.2565 0.4984 0.7509
V5 0.5000 0.0000 0.0000
V6 0.5000 0.5000 0.0000
V7 0.5000 0.5000 0.5000
V8 0.7435 0.5016 0.2491
O1 0.1073 0.2544 0.3835
O2 0.1396 0.2554 0.8822
O3 0.1436 0.7264 0.8815
O4 0.1515 0.7240 0.3991
O5 0.3693 0.2736 0.6186
O6 0.3687 0.7407 0.6176
O7 0.3739 0.2761 0.1006
O8 0.3848 0.7434 0.1155
O9 0.6152 0.2566 0.8845
O10 0.6261 0.7239 0.8994
O11 0.6313 0.2593 0.3824
O12 0.6307 0.7264 0.3814
O13 0.8485 0.2760 0.6009
O14 0.8564 0.2736 0.1185
O15 0.8604 0.7446 0.1178
O16 0.8927 0.7456 0.6165
```

The following is a computed powder diffractogram of Sr2CoWO6. It was derived from a cell relaxed with GGA+U, using λ = 1.5418 Å (Cu Kα).

Main lines, by intensity (2θ = 15–90°):
2θ (°), Rel. int.
31.52, 100
44.94, 25
56.09, 20
31.22, 19
19.06, 14
19.17, 14
45.43, 12
65.75, 11
55.80, 9
55.70, 8
56.32, 8
74.44, 7

Cell and atoms:
```
data_Sr2CoWO6
_symmetry_space_group_name_H-M 'P 1'
_symmetry_Int_Tables_number 1
_cell_length_a 5.6716
_cell_length_b 5.6716
_cell_length_c 9.8404
_cell_angle_alpha 106.10
_cell_angle_beta 106.10
_cell_angle_gamma 60.11
loop_
_symmetry_equiv_pos_as_xyz
'x,y,z'
loop_
_atom_site_label
_atom_site_fract_x
_atom_site_fract_y
_atom_site_fract_z
Sr1 0.1217 0.1217 0.3727
Sr2 0.3768 0.3768 0.1270
Sr3 0.6232 0.6232 0.8730
Sr4 0.8783 0.8783 0.6273
Co1 0.0000 0.0000 0.0000
Co2 0.5000 0.5000 0.5000
W1 0.2502 0.2502 0.7498
W2 0.7498 0.7498 0.2502
O1 0.1268 0.6447 0.3534
O2 0.1431 0.6273 0.8530
O3 0.1603 0.1603 0.9009
O4 0.3399 0.3399 0.5993
O5 0.3553 0.8732 0.6466
O6 0.3727 0.8569 0.1470
O7 0.6273 0.1431 0.8530
O8 0.6447 0.1268 0.3534
O9 0.6601 0.6601 0.4007
O10 0.8397 0.8397 0.0991
O11 0.8569 0.3727 0.1470
O12 0.8732 0.3553 0.6466
```

The following is a computed powder diffractogram of Li9Mn2Co5O16. It was derived from a cell relaxed with GGA+U, using λ = 1.5418 Å (Cu Kα).

Main lines, by intensity (2θ = 15–90°):
2θ (°), Rel. int.
18.19, 100
43.87, 54
42.86, 28
36.40, 26
62.80, 15
63.19, 14
35.41, 14
57.51, 9
47.71, 9
62.52, 8
65.01, 7
37.92, 7

Cell and atoms:
```
data_Li9Mn2Co5O16
_symmetry_space_group_name_H-M 'P 1'
_symmetry_Int_Tables_number 1
_cell_length_a 5.9426
_cell_length_b 2.8691
_cell_length_c 16.8815
_cell_angle_alpha 90.00
_cell_angle_beta 90.46
_cell_angle_gamma 90.00
loop_
_symmetry_equiv_pos_as_xyz
'x,y,z'
loop_
_atom_site_label
_atom_site_fract_x
_atom_site_fract_y
_atom_site_fract_z
Li1 0.0000 0.0000 0.0000
Li2 0.0017 0.0000 0.4885
Li3 0.2420 0.5000 0.1300
Li4 0.2501 0.5000 0.6164
Li5 0.4976 0.0000 0.7463
Li6 0.5081 0.0000 0.2472
Li7 0.7463 0.5000 0.8753
Li8 0.7550 0.5000 0.3679
Li9 0.9882 0.0000 0.2469
Mn1 0.7531 0.5000 0.1255
Mn2 0.9982 0.0000 0.7466
Co1 0.2394 0.5000 0.3599
Co2 0.2519 0.5000 0.8744
Co3 0.4904 0.0000 0.4923
Co4 0.4939 0.0000 0.9966
Co5 0.7421 0.5000 0.6170
O1 0.0130 0.0000 0.3704
O2 0.0137 0.0000 0.8623
O3 0.2192 0.5000 0.7452
O4 0.2516 0.5000 0.2496
O5 0.2603 0.5000 0.4959
O6 0.2605 0.5000 0.9988
O7 0.4820 0.0000 0.3734
O8 0.4876 0.0000 0.8746
O9 0.5115 0.0000 0.6216
O10 0.5266 0.0000 0.1180
O11 0.7338 0.5000 0.4986
O12 0.7354 0.5000 0.0019
O13 0.7474 0.5000 0.2333
O14 0.7758 0.5000 0.7472
O15 0.9694 0.0000 0.1198
O16 0.9828 0.0000 0.6312
```

The following is a computed powder diffractogram of CeV2IO9. It was derived from a cell relaxed with GGA+U, using λ = 1.5418 Å (Cu Kα).

Main lines, by intensity (2θ = 15–90°):
2θ (°), Rel. int.
22.23, 100
33.22, 75
28.77, 51
24.34, 44
27.29, 38
41.66, 32
47.71, 32
45.67, 24
24.45, 21
30.19, 19
28.12, 17
49.88, 17

Cell and atoms:
```
data_CeV2IO9
_symmetry_space_group_name_H-M 'P 1'
_symmetry_Int_Tables_number 1
_cell_length_a 7.0509
_cell_length_b 14.5636
_cell_length_c 7.3131
_cell_angle_alpha 90.00
_cell_angle_beta 90.00
_cell_angle_gamma 90.00
loop_
_symmetry_equiv_pos_as_xyz
'x,y,z'
loop_
_atom_site_label
_atom_site_fract_x
_atom_site_fract_y
_atom_site_fract_z
Ce1 0.1569 0.0514 0.2500
Ce2 0.1569 0.4486 0.7500
Ce3 0.8431 0.5514 0.2500
Ce4 0.8431 0.9486 0.7500
V1 0.1816 0.7292 0.7500
V2 0.1816 0.7708 0.2500
V3 0.4627 0.2500 0.0000
V4 0.4627 0.2500 0.5000
V5 0.5373 0.7500 0.0000
V6 0.5373 0.7500 0.5000
V7 0.8184 0.2292 0.7500
V8 0.8184 0.2708 0.2500
I1 0.2962 0.0589 0.7500
I2 0.2962 0.4411 0.2500
I3 0.7038 0.5589 0.7500
I4 0.7038 0.9411 0.2500
O1 0.0095 0.6890 0.2500
O2 0.0095 0.8110 0.7500
O3 0.0835 0.6234 0.7500
O4 0.0835 0.8766 0.2500
O5 0.1718 0.5087 0.0702
O6 0.1718 0.5087 0.4298
O7 0.1718 0.9913 0.5702
O8 0.1718 0.9913 0.9298
O9 0.2577 0.7500 0.0000
O10 0.2577 0.7500 0.5000
O11 0.3290 0.1528 0.0470
O12 0.3290 0.1528 0.4530
O13 0.3290 0.3472 0.5470
O14 0.3290 0.3472 0.9530
O15 0.4659 0.7203 0.7500
O16 0.4659 0.7797 0.2500
O17 0.4729 0.5024 0.7500
O18 0.4729 0.9976 0.2500
O19 0.5271 0.0024 0.7500
O20 0.5271 0.4976 0.2500
O21 0.5341 0.2203 0.7500
O22 0.5341 0.2797 0.2500
O23 0.6710 0.6528 0.0470
O24 0.6710 0.6528 0.4530
O25 0.6710 0.8472 0.5470
O26 0.6710 0.8472 0.9530
O27 0.7423 0.2500 0.0000
O28 0.7423 0.2500 0.5000
O29 0.8282 0.0087 0.0702
O30 0.8282 0.0087 0.4298
O31 0.8282 0.4913 0.5702
O32 0.8282 0.4913 0.9298
O33 0.9165 0.1234 0.7500
O34 0.9165 0.3766 0.2500
O35 0.9905 0.1890 0.2500
O36 0.9905 0.3110 0.7500
```

The following is a computed powder diffractogram of Li2FeH4S2O10. It was derived from a cell relaxed with GGA+U, using λ = 1.5418 Å (Cu Kα).

Main lines, by intensity (2θ = 15–90°):
2θ (°), Rel. int.
17.33, 100
27.88, 72
26.43, 68
25.03, 64
25.56, 59
34.63, 33
27.62, 32
35.51, 27
21.70, 19
51.39, 18
36.01, 17
37.19, 16

Cell and atoms:
```
data_Li2FeH4S2O10
_symmetry_space_group_name_H-M 'P 1'
_symmetry_Int_Tables_number 1
_cell_length_a 5.5842
_cell_length_b 7.4250
_cell_length_c 10.5316
_cell_angle_alpha 101.96
_cell_angle_beta 98.69
_cell_angle_gamma 110.07
loop_
_symmetry_equiv_pos_as_xyz
'x,y,z'
loop_
_atom_site_label
_atom_site_fract_x
_atom_site_fract_y
_atom_site_fract_z
Li1 0.1301 0.2061 0.3669
Li2 0.2080 0.2733 0.9198
Li3 0.7920 0.7267 0.0802
Li4 0.8699 0.7939 0.6331
Fe1 0.4959 0.9849 0.2509
Fe2 0.5041 0.0151 0.7491
H1 0.3353 0.3011 0.7057
H2 0.3909 0.6164 0.6301
H3 0.3991 0.5932 0.1788
H4 0.4908 0.3111 0.2152
H5 0.5092 0.6889 0.7848
H6 0.6009 0.4068 0.8212
H7 0.6091 0.3836 0.3699
H8 0.6647 0.6989 0.2943
S1 0.1326 0.7702 0.4350
S2 0.1535 0.7621 0.9298
S3 0.8465 0.2379 0.0702
S4 0.8674 0.2298 0.5650
O1 0.1214 0.3781 0.0874
O2 0.1561 0.3402 0.5804
O3 0.1587 0.8803 0.8292
O4 0.1631 0.8899 0.3344
O5 0.2210 0.9153 0.5731
O6 0.2268 0.9028 0.0681
O7 0.2774 0.6408 0.4221
O8 0.3360 0.6586 0.9169
O9 0.4312 0.2894 0.7909
O10 0.4607 0.2775 0.2996
O11 0.5393 0.7225 0.7004
O12 0.5688 0.7106 0.2091
O13 0.6640 0.3414 0.0831
O14 0.7226 0.3592 0.5779
O15 0.7732 0.0972 0.9319
O16 0.7790 0.0847 0.4269
O17 0.8369 0.1101 0.6656
O18 0.8413 0.1197 0.1708
O19 0.8439 0.6598 0.4196
O20 0.8786 0.6219 0.9126
```

The following is a computed powder diffractogram of KSrLaMnO6. It was derived from a cell relaxed with GGA+U, using λ = 1.5418 Å (Cu Kα).

Main lines, by intensity (2θ = 15–90°):
2θ (°), Rel. int.
29.92, 100
30.03, 50
53.04, 21
53.18, 20
53.31, 19
43.08, 18
42.88, 17
42.66, 17
18.21, 15
21.11, 14
86.42, 11
86.13, 10

Cell and atoms:
```
data_KSrLaMnO6
_symmetry_space_group_name_H-M 'P 1'
_symmetry_Int_Tables_number 1
_cell_length_a 8.3985
_cell_length_b 8.4369
_cell_length_c 8.4779
_cell_angle_alpha 90.00
_cell_angle_beta 90.00
_cell_angle_gamma 90.00
loop_
_symmetry_equiv_pos_as_xyz
'x,y,z'
loop_
_atom_site_label
_atom_site_fract_x
_atom_site_fract_y
_atom_site_fract_z
K1 0.2500 0.2500 0.2500
K2 0.2500 0.7500 0.2500
K3 0.7500 0.2500 0.7500
K4 0.7500 0.7500 0.7500
Sr1 0.2500 0.2500 0.7500
Sr2 0.2500 0.7500 0.7500
Sr3 0.7500 0.2500 0.2500
Sr4 0.7500 0.7500 0.2500
La1 0.0000 0.0000 0.0000
La2 0.0000 0.5000 0.5000
La3 0.5000 0.0000 0.5000
La4 0.5000 0.5000 0.0000
Mn1 0.0000 0.0000 0.5000
Mn2 0.0000 0.5000 0.0000
Mn3 0.5000 0.0000 0.0000
Mn4 0.5000 0.5000 0.5000
O1 0.0065 0.0234 0.2765
O2 0.0065 0.4766 0.2235
O3 0.0196 0.7229 0.0178
O4 0.0196 0.7771 0.4822
O5 0.2263 0.0196 0.5381
O6 0.2263 0.4804 0.9619
O7 0.2737 0.0196 0.9619
O8 0.2737 0.4804 0.5381
O9 0.4804 0.7229 0.4822
O10 0.4804 0.7771 0.0178
O11 0.4935 0.0234 0.2235
O12 0.4935 0.4766 0.2765
O13 0.5065 0.5234 0.7235
O14 0.5065 0.9766 0.7765
O15 0.5196 0.2229 0.9822
O16 0.5196 0.2771 0.5178
O17 0.7263 0.5196 0.4619
O18 0.7263 0.9804 0.0381
O19 0.7737 0.5196 0.0381
O20 0.7737 0.9804 0.4619
O21 0.9804 0.2229 0.5178
O22 0.9804 0.2771 0.9822
O23 0.9935 0.5234 0.7765
O24 0.9935 0.9766 0.7235
```

The following is a computed powder diffractogram of Ce3WCl3O6. It was derived from a cell relaxed with GGA+U, using λ = 1.5418 Å (Cu Kα).

Main lines, by intensity (2θ = 15–90°):
2θ (°), Rel. int.
33.68, 100
27.53, 49
25.18, 47
44.70, 36
29.24, 31
52.14, 29
33.05, 27
59.43, 19
62.87, 17
47.59, 17
51.85, 17
33.26, 14

Cell and atoms:
```
data_Ce3WCl3O6
_symmetry_space_group_name_H-M 'P 1'
_symmetry_Int_Tables_number 1
_cell_length_a 9.3314
_cell_length_b 9.3314
_cell_length_c 5.4211
_cell_angle_alpha 90.00
_cell_angle_beta 90.00
_cell_angle_gamma 120.00
loop_
_symmetry_equiv_pos_as_xyz
'x,y,z'
loop_
_atom_site_label
_atom_site_fract_x
_atom_site_fract_y
_atom_site_fract_z
Ce1 0.0914 0.4101 0.2500
Ce2 0.3187 0.9086 0.2500
Ce3 0.4101 0.3187 0.7500
Ce4 0.5899 0.6813 0.2500
Ce5 0.6813 0.0914 0.7500
Ce6 0.9086 0.5899 0.7500
W1 0.3333 0.6667 0.7500
W2 0.6667 0.3333 0.2500
Cl1 0.0503 0.2394 0.7500
Cl2 0.1890 0.9497 0.7500
Cl3 0.2394 0.1890 0.2500
Cl4 0.7606 0.8110 0.7500
Cl5 0.8110 0.0503 0.2500
Cl6 0.9497 0.7606 0.2500
O1 0.1546 0.6355 0.5112
O2 0.1546 0.6355 0.9888
O3 0.3645 0.5191 0.5112
O4 0.3645 0.5191 0.9888
O5 0.4809 0.8454 0.5112
O6 0.4809 0.8454 0.9888
O7 0.5191 0.1546 0.0112
O8 0.5191 0.1546 0.4888
O9 0.6355 0.4809 0.0112
O10 0.6355 0.4809 0.4888
O11 0.8454 0.3645 0.0112
O12 0.8454 0.3645 0.4888
```